[1]
Theoretical powder XRD pattern
Compound: Sr2TlBi2
Radiation: Cu Kα X-rays
Structure: a cell relaxed with PBE
Lines closer than 0.1° are merged.

Crystal structure
Cell lengths 13.025, 4.908, 12.147 Å; angles 90.00, 111.24, 90.00 degrees
Space group C2/m (No. 12)
Unique sites:
Sr 0.007 0.000 0.174 x4
Sr 0.170 0.000 0.597 x4
Tl 0.208 0.500 0.817 x4
Bi 0.056 0.500 0.391 x4
Bi 0.134 0.500 0.049 x4

Peak list (6 most intense, 2θ = 15–90°, by angle)
| d (Å) | 2theta | intensity | hkl |
| --- | --- | --- | --- |
| 4.550 | 19.5 | 44 | 1 1 0 |
| 3.332 | 26.8 | 43 | 1 1 2 |
| 3.121 | 28.6 | 91 | 1 1 -3 |
| 2.825 | 31.7 | 42 | 3 1 -3 |
| 2.815 | 31.8 | 100 | 3 1 1 |
| 2.454 | 36.6 | 48 | 0 2 0 |

---

[2]
Theoretical powder XRD pattern
Compound: LiTl2In
Radiation: Cu Kα X-rays
Structure: a cell relaxed with PBE
Lines closer than 0.1° are merged.

Crystal structure
Cell lengths 6.632, 10.473, 3.417 Å; angles 90.00, 115.60, 90.00 degrees
Space group C2/m (No. 12)
Unique sites:
Li 0.000 0.000 0.000 x2
Tl 0.250 0.250 0.500 x4
In 0.000 0.500 0.000 x2

Peak list (6 most intense, 2θ = 15–90°, by angle)
| d (Å) | 2theta | intensity | hkl |
| --- | --- | --- | --- |
| 5.237 | 16.9 | 73 | 0 2 0 |
| 2.847 | 31.4 | 60 | 2 0 -1 |
| 2.656 | 33.7 | 100 | 0 2 1 |
| 2.618 | 34.2 | 48 | 0 4 0 |
| 2.597 | 34.5 | 94 | 2 2 0 |
| 1.927 | 47.2 | 40 | 2 4 -1 |

---

[3]
Theoretical powder XRD pattern
Compound: RbMgSN2
Radiation: Cu Kα X-rays
Structure: a cell relaxed with PBE
Lines closer than 0.1° are merged.

Crystal structure
Cell lengths 4.567, 4.567, 5.020 Å; angles 90.00, 90.00, 90.00 degrees
Space group P4/mmm (No. 123)
Unique sites:
Rb 0.000 0.000 0.000 x1
Mg 0.500 0.500 0.500 x1
S 0.500 0.500 0.000 x1
N 0.000 0.500 0.500 x2

Peak list (6 most intense, 2θ = 15–90°, by angle)
| d (Å) | 2theta | intensity | hkl |
| --- | --- | --- | --- |
| 3.378 | 26.4 | 74 | 1 0 1 |
| 3.229 | 27.6 | 75 | 1 1 0 |
| 2.716 | 33.0 | 100 | 1 1 1 |
| 2.510 | 35.8 | 40 | 0 0 2 |
| 2.284 | 39.5 | 59 | 2 0 0 |
| 1.689 | 54.3 | 43 | 2 0 2 |

---

[4]
Theoretical powder XRD pattern
Compound: Y4TmSc4
Radiation: Cu Kα X-rays
Structure: a cell relaxed with PBE
Lines closer than 0.1° are merged.

Crystal structure
Cell lengths 10.283, 10.283, 4.842 Å; angles 90.00, 90.00, 90.00 degrees
Space group I4/mmm (No. 139)
Unique sites:
Y 0.000 0.327 0.000 x8
Tm 0.000 0.000 0.000 x2
Sc 0.165 0.165 0.500 x8

Peak list (6 most intense, 2θ = 15–90°, by angle)
| d (Å) | 2theta | intensity | hkl |
| --- | --- | --- | --- |
| 4.381 | 20.3 | 18 | 1 0 1 |
| 2.798 | 32.0 | 100 | 3 0 1 |
| 2.423 | 37.1 | 50 | 0 0 2 |
| 1.713 | 53.5 | 33 | 3 3 2 |
| 1.461 | 63.7 | 38 | 3 0 3 |
| 1.112 | 87.8 | 15 | 6 3 3 |

---

[5]
Theoretical powder XRD pattern
Compound: Mg4Tl6Pb
Radiation: Cu Kα X-rays
Structure: a cell relaxed with PBE
Lines closer than 0.1° are merged.

Crystal structure
Cell lengths 7.561, 7.561, 11.212 Å; angles 90.00, 90.00, 90.00 degrees
Space group I-42m (No. 121)
Unique sites:
Mg 0.176 0.176 0.067 x8
Tl 0.000 0.500 0.000 x4
Tl 0.170 0.170 0.779 x8
Pb 0.000 0.000 0.500 x2

Peak list (6 most intense, 2θ = 15–90°, by angle)
| d (Å) | 2theta | intensity | hkl |
| --- | --- | --- | --- |
| 3.869 | 23.0 | 27 | 1 1 2 |
| 3.237 | 27.6 | 87 | 2 1 1 |
| 3.134 | 28.5 | 100 | 2 0 2 |
| 2.803 | 31.9 | 28 | 0 0 4 |
| 2.673 | 33.5 | 27 | 2 2 0 |
| 2.507 | 35.8 | 40 | 2 1 3 |

---

[6]
Theoretical powder XRD pattern
Compound: Sr4BiPb
Radiation: Cu Kα X-rays
Structure: a cell relaxed with PBE
Lines closer than 0.1° are merged.

Crystal structure
Cell lengths 10.641, 15.177, 7.582 Å; angles 90.00, 123.40, 90.00 degrees
Space group C2/c (No. 15)
Unique sites:
Sr 0.124 0.180 0.103 x8
Sr 0.197 0.438 0.270 x8
Bi 0.000 0.364 0.750 x4
Pb 0.000 0.002 0.750 x4

Peak list (6 most intense, 2θ = 15–90°, by angle)
| d (Å) | 2theta | intensity | hkl |
| --- | --- | --- | --- |
| 3.438 | 25.9 | 87 | 3 1 -1 |
| 3.165 | 28.2 | 70 | 0 0 2 |
| 2.982 | 30.0 | 100 | 1 3 -2 |
| 2.872 | 31.1 | 66 | 1 5 0 |
| 2.717 | 33.0 | 93 | 3 3 -2 |
| 2.555 | 35.1 | 85 | 3 3 0 |

---

[7]
Theoretical powder XRD pattern
Compound: Li6Mg2H
Radiation: Cu Kα X-rays
Structure: a cell relaxed with PBE
Lines closer than 0.1° are merged.

Crystal structure
Cell lengths 6.133, 6.133, 8.280 Å; angles 90.00, 90.00, 90.00 degrees
Space group I4/mmm (No. 139)
Unique sites:
Li 0.000 0.000 0.243 x4
Li 0.240 0.240 0.000 x8
Mg 0.000 0.500 0.250 x4
H 0.000 0.000 0.000 x2

Peak list (6 most intense, 2θ = 15–90°, by angle)
| d (Å) | 2theta | intensity | hkl |
| --- | --- | --- | --- |
| 4.337 | 20.5 | 54 | 1 1 0 |
| 3.067 | 29.1 | 27 | 2 0 0 |
| 2.995 | 29.8 | 50 | 1 1 2 |
| 2.464 | 36.5 | 100 | 2 0 2 |
| 2.168 | 41.7 | 36 | 2 2 0 |
| 1.302 | 72.6 | 25 | 4 2 2 |

---

[8]
Theoretical powder XRD pattern
Compound: NpZn12Pt6
Radiation: Cu Kα X-rays
Structure: a cell relaxed with PBE
Lines closer than 0.1° are merged.

Crystal structure
Cell lengths 11.3633, 11.3633, 8.6929 Å; angles 90.00, 90.00, 120.00 degrees
Space group R-3m (No. 166, hexagonal axes)
Unique sites:
Np 0.0000 0.0000 0.0000 x3
Zn 0.0000 0.3898 0.5000 x18
Zn 0.0851 0.1702 0.3068 x18
Pt 0.0472 0.5236 0.2451 x18

Peak list (6 most intense, 2θ = 15–90°, by angle)
| d (Å) | 2theta | intensity | hkl |
| --- | --- | --- | --- |
| 3.420 | 26.1 | 100 | 2 1 1 |
| 2.841 | 31.5 | 76 | 2 2 0 |
| 2.185 | 41.3 | 69 | 3 2 1 |
| 2.172 | 41.6 | 57 | 0 3 3 |
| 2.004 | 45.3 | 60 | 2 3 2 |
| 1.988 | 45.6 | 94 | 0 2 4 |